[1]
Structure and calculated XRD peak list of Na10B17C3 (the PBE geometry in Alexandria; Cu Kα (λ = 1.5418 Å)).
Peak positions follow from Bragg's law for the DFT cell and can differ from measured ones.

Crystal structure
a = 8.6845 Å, b = 13.4334 Å, c = 13.4334 Å
α = 12.06°, β = 90.00°, γ = 90.00°
Fractional coordinates of all 30 atoms:
Na  0.2481  0.0000  0.0000
Na  0.2496  0.5998  0.5998
Na  0.2506  0.2016  0.2016
Na  0.2515  0.4013  0.4013
Na  0.2508  0.8023  0.8023
Na  0.7494  0.2016  0.2016
Na  0.7485  0.4013  0.4013
Na  0.7492  0.8023  0.8023
Na  0.7504  0.5998  0.5998
Na  0.7519  0.0000  0.0000
B  0.0000  0.0666  0.0666
B  0.0000  0.1303  0.1303
B  0.0000  0.2736  0.2736
B  0.0000  0.3361  0.3361
B  0.0000  0.4634  0.4634
B  0.0000  0.5285  0.5285
B  0.0000  0.6703  0.6703
B  0.0000  0.7326  0.7326
B  0.0000  0.8753  0.8753
B  0.5000  0.0648  0.0648
B  0.5000  0.1277  0.1277
B  0.5000  0.2754  0.2754
B  0.5000  0.3425  0.3425
B  0.5000  0.5234  0.5234
B  0.5000  0.6710  0.6710
B  0.5000  0.7349  0.7349
B  0.5000  0.9338  0.9338
C  0.0000  0.9339  0.9339
C  0.5000  0.4645  0.4645
C  0.5000  0.8727  0.8727

Principal peaks in the range 2θ from 10° to 90°, in order of falling intensity:
- 41.74 deg, 2.164 Å, rel. 1000
- 39.61 deg, 2.276 Å, rel. 495
- 41.60 deg, 2.171 Å, rel. 373
- 61.56 deg, 1.506 Å, rel. 178
- 77.05 deg, 1.238 Å, rel. 168
- 35.98 deg, 2.496 Å, rel. 167
- 33.54 deg, 2.672 Å, rel. 142
- 76.00 deg, 1.252 Å, rel. 131

[2]
Structure and calculated XRD peak list of Na5B8C2 (the PBE geometry in Alexandria; Cu Kα (λ = 1.5418 Å)).
Peak positions follow from Bragg's law for the DFT cell and can differ from measured ones.

Crystal structure
a = 5.0468 Å, b = 7.7628 Å, c = 9.1303 Å
α = 107.81°, β = 90.50°, γ = 107.66°
Fractional coordinates of all 30 atoms:
Na  0.0000  0.0000  0.0000
Na  0.0969  0.1986  0.4980
Na  0.1996  0.4000  0.0012
Na  0.3031  0.6011  0.5010
Na  0.4016  0.8000  0.9984
Na  0.5000  0.0000  0.5000
Na  0.5984  0.2000  0.0016
Na  0.6969  0.3989  0.4990
Na  0.8004  0.6000  0.9988
Na  0.9031  0.8014  0.5020
B  0.0275  0.7062  0.7502
B  0.0550  0.4810  0.7503
B  0.1009  0.8886  0.2506
B  0.2838  0.9140  0.7495
B  0.3242  0.3066  0.2493
B  0.3712  0.0943  0.2503
B  0.4097  0.5001  0.7510
B  0.4813  0.2880  0.7499
B  0.5187  0.7120  0.2501
B  0.5903  0.4999  0.2490
B  0.6288  0.9057  0.7497
B  0.6758  0.6934  0.7507
B  0.7162  0.0860  0.2505
B  0.8991  0.1114  0.7494
B  0.9450  0.5190  0.2497
B  0.9725  0.2938  0.2498
C  0.1913  0.7034  0.2501
C  0.2189  0.1045  0.7488
C  0.7811  0.8955  0.2512
C  0.8087  0.2966  0.7499

Principal peaks in the range 2θ from 10° to 90°, in order of falling intensity:
- 41.40 deg, 2.181 Å, rel. 1000
- 40.76 deg, 2.214 Å, rel. 655
- 41.83 deg, 2.160 Å, rel. 491
- 41.48 deg, 2.177 Å, rel. 330
- 35.55 deg, 2.525 Å, rel. 239
- 78.37 deg, 1.220 Å, rel. 169
- 34.80 deg, 2.578 Å, rel. 145
- 76.08 deg, 1.251 Å, rel. 127

[3]
Structure and calculated XRD peak list of Na5B8C2 (the PBE geometry in Alexandria; Cu Kα (λ = 1.5418 Å)).
Peak positions follow from Bragg's law for the DFT cell and can differ from measured ones.

Crystal structure
a = 5.0494 Å, b = 7.7633 Å, c = 9.1034 Å
α = 76.15°, β = 74.17°, γ = 72.42°
Fractional coordinates of all 30 atoms:
Na  0.0000  0.0000  0.0000
Na  0.0000  0.5000  0.5000
Na  0.1977  0.1011  0.4984
Na  0.2018  0.6006  0.9989
Na  0.3958  0.2012  0.0025
Na  0.4021  0.6989  0.5024
Na  0.5979  0.3011  0.4976
Na  0.6042  0.7988  0.9975
Na  0.7982  0.3994  0.0011
Na  0.8023  0.8989  0.5016
B  0.0204  0.3565  0.2499
B  0.0254  0.8581  0.7507
B  0.1684  0.7379  0.2504
B  0.2414  0.9498  0.2493
B  0.2502  0.4387  0.7495
B  0.3653  0.3634  0.2500
B  0.3762  0.8431  0.7502
B  0.4044  0.0698  0.7499
B  0.5956  0.9302  0.2501
B  0.6238  0.1569  0.2498
B  0.6347  0.6366  0.7500
B  0.7498  0.5613  0.2505
B  0.7586  0.0502  0.7507
B  0.8316  0.2621  0.7496
B  0.9746  0.1419  0.2493
B  0.9796  0.6435  0.7501
C  0.1594  0.2535  0.7492
C  0.4297  0.5549  0.2506
C  0.5703  0.4451  0.7494
C  0.8406  0.7465  0.2508

Principal peaks in the range 2θ from 10° to 90°, in order of falling intensity:
- 41.43 deg, 2.180 Å, rel. 1000
- 40.74 deg, 2.215 Å, rel. 490
- 41.88 deg, 2.157 Å, rel. 367
- 62.82 deg, 1.479 Å, rel. 175
- 34.76 deg, 2.581 Å, rel. 110
- 56.07 deg, 1.640 Å, rel. 100
- 35.57 deg, 2.524 Å, rel. 91
- 35.53 deg, 2.527 Å, rel. 89